1.
Structure and simulated powder X-ray diffraction pattern of CdSb6Pd (a DFT-relaxed cell (GGA-PBE, Alexandria); Cu Kα X-rays).
Neutral-atom scattering factors, no anomalous dispersion.

Structural model:
```
CdSb6Pd
1.0
6.9273 -4.9123 0.0000
6.9273 4.9123 0.0000
-6.9053 0.0000 7.0746
Cd Sb Pd
2 12 2
direct
0.0000 0.5000 0.0000
0.5000 0.0000 0.0000
0.0020 0.7051 0.3681
0.1324 0.8363 0.8364
0.1637 0.8676 0.1636
0.2949 0.9980 0.6319
0.3456 0.3456 0.5015
0.3604 0.3604 0.2220
0.6396 0.6396 0.7780
0.6544 0.6544 0.4985
0.7051 0.0020 0.3681
0.8363 0.1324 0.8364
0.8676 0.1637 0.1636
0.9980 0.2949 0.6319
0.0000 0.5000 0.5000
0.5000 0.0000 0.5000
```

Top 10 peaks for 10 to 90 degrees two-theta, in order of falling intensity:
- 2θ 28.70, rel. 100
- 2θ 28.56, rel. 63
- 2θ 41.03, rel. 33
- 2θ 28.31, rel. 29
- 2θ 45.25, rel. 25
- 2θ 12.70, rel. 23
- 2θ 40.39, rel. 19
- 2θ 47.07, rel. 17
- 2θ 34.15, rel. 16
- 2θ 46.93, rel. 15

2.
Structure and simulated powder X-ray diffraction pattern of CdSbPd5 (a DFT-relaxed cell (GGA-PBE, Alexandria); Cu Kα X-rays).
Neutral-atom scattering factors, no anomalous dispersion.

Structural model:
```
CdSbPd5
1.0
3.6157 -2.9290 0.0000
3.6157 2.9290 0.0000
0.0000 0.0000 11.8493
Cd Sb Pd
2 2 10
direct
0.0039 0.9961 0.7500
0.9961 0.0039 0.2500
0.5000 0.5000 0.0000
0.5000 0.5000 0.5000
0.0018 0.4960 0.6192
0.0018 0.4960 0.8808
0.4960 0.0018 0.1192
0.4960 0.0018 0.3808
0.4980 0.5020 0.2500
0.5020 0.4980 0.7500
0.5040 0.9982 0.6192
0.5040 0.9982 0.8808
0.9982 0.5040 0.1192
0.9982 0.5040 0.3808
```

Top 10 peaks for 10 to 90 degrees two-theta, in order of falling intensity:
- 2θ 39.32, rel. 100
- 2θ 39.60, rel. 99
- 2θ 43.44, rel. 79
- 2θ 68.76, rel. 38
- 2θ 77.33, rel. 27
- 2θ 76.78, rel. 26
- 2θ 50.49, rel. 25
- 2θ 24.66, rel. 21
- 2θ 19.50, rel. 14
- 2θ 63.53, rel. 12

3.
Structure and simulated powder X-ray diffraction pattern of Cd2Sb2Pd (a DFT-relaxed cell (GGA-PBE, Alexandria); Cu Kα X-rays).
Neutral-atom scattering factors, no anomalous dispersion.

Structural model:
```
Cd2Sb2Pd
1.0
7.0691 0.0000 0.0000
0.0000 7.0691 0.0000
0.0000 0.0000 5.0241
Cd Sb Pd
4 4 2
direct
0.1656 0.3344 0.0000
0.3344 0.8344 0.0000
0.6656 0.1656 0.0000
0.8344 0.6656 0.0000
0.1535 0.6535 0.5000
0.3465 0.1535 0.5000
0.6535 0.8465 0.5000
0.8465 0.3465 0.5000
0.0000 0.0000 0.5000
0.5000 0.5000 0.5000
```

Top 10 peaks for 10 to 90 degrees two-theta, in order of falling intensity:
- 2θ 33.49, rel. 100
- 2θ 40.34, rel. 31
- 2θ 35.74, rel. 27
- 2θ 54.99, rel. 23
- 2θ 62.79, rel. 15
- 2θ 56.73, rel. 15
- 2θ 74.74, rel. 12
- 2θ 25.15, rel. 10
- 2θ 30.93, rel. 9
- 2θ 17.66, rel. 8